The following is a computed X-ray powder pattern of ScBiPb2O6. It was derived from a GGA-PBE-relaxed structure, using CuKα.
Peak positions follow from Bragg's law for the DFT cell and can differ from measured ones.

Cell and atoms:
Lattice parameters (Å, degrees): 5.8843 5.9297 10.2220 90.00 125.09 90.00
Positions (direct):
Sc 0.0000 0.0000 0.0000
Sc 0.0000 0.5000 0.5000
Bi 0.5000 0.0000 0.5000
Bi 0.5000 0.5000 0.0000
Pb 0.2454 0.0290 0.7502
Pb 0.2454 0.4710 0.2502
Pb 0.7546 0.5290 0.7498
Pb 0.7546 0.9710 0.2498
O 0.1718 0.2130 0.4618
O 0.1718 0.2870 0.9618
O 0.2521 0.7101 0.4625
O 0.2521 0.7899 0.9625
O 0.3237 0.0169 0.2490
O 0.3237 0.4831 0.7490
O 0.6763 0.5169 0.2510
O 0.6763 0.9831 0.7510
O 0.7479 0.2101 0.0375
O 0.7479 0.2899 0.5375
O 0.8282 0.7130 0.0382
O 0.8282 0.7870 0.5382

Largest 6 diffraction maxima, by angle, 2θ = 10–90°:
d = 2.959 Å, rel. 100.0
d = 2.954 Å, rel. 67.3
d = 2.942 Å, rel. 33.3
d = 2.089 Å, rel. 50.6
d = 1.710 Å, rel. 39.3
d = 1.701 Å, rel. 30.7

=====

The following is a computed X-ray powder pattern of LiHgPdF6. It was derived from a GGA-PBE-relaxed structure, using CuKα.
Peak positions follow from Bragg's law for the DFT cell and can differ from measured ones.

Cell and atoms:
Lattice parameters (Å, degrees): 4.9254 4.9254 10.3957 90.00 90.00 90.00
Positions (direct):
Li 0.0000 0.0000 0.0000
Li 0.5000 0.5000 0.5000
Hg 0.0000 0.0000 0.6565
Hg 0.5000 0.5000 0.1565
Pd 0.0000 0.0000 0.3288
Pd 0.5000 0.5000 0.8288
F 0.1806 0.1806 0.1627
F 0.2070 0.2070 0.4771
F 0.2179 0.2179 0.8352
F 0.2821 0.7179 0.3352
F 0.2930 0.7070 0.9771
F 0.3194 0.6806 0.6627
F 0.6806 0.3194 0.6627
F 0.7070 0.2930 0.9771
F 0.7179 0.2821 0.3352
F 0.7821 0.7821 0.8352
F 0.7930 0.7930 0.4771
F 0.8194 0.8194 0.1627

Largest 6 diffraction maxima, by angle, 2θ = 10–90°:
d = 4.451 Å, rel. 92.4
d = 3.483 Å, rel. 100.0
d = 2.893 Å, rel. 31.7
d = 2.834 Å, rel. 85.2
d = 2.155 Å, rel. 31.5
d = 1.859 Å, rel. 74.2

=====

The following is a computed X-ray powder pattern of Th3ZnAu3. It was derived from a GGA-PBE-relaxed structure, using CuKα.
Peak positions follow from Bragg's law for the DFT cell and can differ from measured ones.

Cell and atoms:
Lattice parameters (Å, degrees): 3.6846 4.6068 20.2527 90.00 90.00 90.00
Positions (direct):
Th 0.0000 0.0000 0.0000
Th 0.0000 0.0000 0.3842
Th 0.0000 0.5000 0.1911
Th 0.5000 0.0000 0.6911
Th 0.5000 0.5000 0.5000
Th 0.5000 0.5000 0.8842
Zn 0.0000 0.5000 0.7588
Zn 0.5000 0.0000 0.2588
Au 0.0000 0.0000 0.5463
Au 0.0000 0.0000 0.8291
Au 0.0000 0.5000 0.6303
Au 0.5000 0.0000 0.1303
Au 0.5000 0.5000 0.0463
Au 0.5000 0.5000 0.3291

Largest 6 diffraction maxima, by angle, 2θ = 10–90°:
d = 2.768 Å, rel. 100.0
d = 2.726 Å, rel. 52.9
d = 2.502 Å, rel. 34.0
d = 2.450 Å, rel. 64.2
d = 2.303 Å, rel. 38.9
d = 1.759 Å, rel. 29.8

=====

The following is a computed X-ray powder pattern of CsB12O12. It was derived from a GGA-PBE-relaxed structure, using CuKα.
Peak positions follow from Bragg's law for the DFT cell and can differ from measured ones.

Cell and atoms:
Lattice parameters (Å, degrees): 8.8317 8.8317 8.8317 63.28 63.28 63.28
Positions (direct):
Cs 0.0000 0.0000 0.0000
B 0.2150 0.5143 0.5143
B 0.2897 0.2897 0.5030
B 0.2897 0.5030 0.2897
B 0.4857 0.4857 0.7850
B 0.4857 0.7850 0.4857
B 0.4970 0.7103 0.7103
B 0.5030 0.2897 0.2897
B 0.5143 0.2150 0.5143
B 0.5143 0.5143 0.2150
B 0.7103 0.4970 0.7103
B 0.7103 0.7103 0.4970
B 0.7850 0.4857 0.4857
O 0.1428 0.6092 0.6092
O 0.1911 0.1911 0.5895
O 0.1911 0.5895 0.1911
O 0.3908 0.3908 0.8572
O 0.3908 0.8572 0.3908
O 0.4105 0.8089 0.8089
O 0.5895 0.1911 0.1911
O 0.6092 0.1428 0.6092
O 0.6092 0.6092 0.1428
O 0.8089 0.4105 0.8089
O 0.8089 0.8089 0.4105
O 0.8572 0.3908 0.3908

Largest 6 diffraction maxima, by angle, 2θ = 10–90°:
d = 7.027 Å, rel. 100.0
d = 6.385 Å, rel. 82.0
d = 3.868 Å, rel. 69.5
d = 3.732 Å, rel. 44.5
d = 3.002 Å, rel. 52.4
d = 2.629 Å, rel. 62.6

=====

The following is a computed X-ray powder pattern of Sm4Dy3Er5. It was derived from a GGA-PBE-relaxed structure, using CuKα.
Peak positions follow from Bragg's law for the DFT cell and can differ from measured ones.

Cell and atoms:
Lattice parameters (Å, degrees): 6.1571 7.1081 8.6973 90.08 90.03 90.10
Positions (direct):
Sm 0.1667 0.2490 0.1680
Sm 0.3321 0.5001 0.8313
Sm 0.6679 0.4999 0.1687
Sm 0.8333 0.7510 0.8320
Dy 0.0000 0.0000 0.5000
Dy 0.1677 0.7515 0.1683
Dy 0.8323 0.2485 0.8317
Er 0.0000 0.5000 0.5000
Er 0.3340 0.0001 0.8312
Er 0.4992 0.7516 0.5000
Er 0.5008 0.2484 0.5000
Er 0.6660 0.9999 0.1688

Largest 6 diffraction maxima, by angle, 2θ = 10–90°:
d = 2.901 Å, rel. 100.0
d = 2.512 Å, rel. 50.7
d = 1.777 Å, rel. 36.0
d = 1.516 Å, rel. 28.6
d = 1.514 Å, rel. 14.2
d = 1.152 Å, rel. 10.4

=====

The following is a computed X-ray powder pattern of PuV4Sn. It was derived from a GGA-PBE-relaxed structure, using CuKα.
Peak positions follow from Bragg's law for the DFT cell and can differ from measured ones.

Cell and atoms:
Lattice parameters (Å, degrees): 5.2426 5.2426 5.2426 60.00 60.00 60.00
Positions (direct):
Pu 0.0000 0.0000 0.0000
V 0.3720 0.3720 0.3720
V 0.3720 0.3720 0.8840
V 0.3720 0.8840 0.3720
V 0.8840 0.3720 0.3720
Sn 0.7500 0.7500 0.7500

Largest 6 diffraction maxima, by angle, 2θ = 10–90°:
d = 4.281 Å, rel. 39.0
d = 2.621 Å, rel. 76.4
d = 2.235 Å, rel. 100.0
d = 1.513 Å, rel. 29.7
d = 1.427 Å, rel. 31.6
d = 1.311 Å, rel. 20.8